(1)
Diffraction record for Sb3As2S14I3F24. The X-ray diffraction stick pattern is calculated, not measured: it uses DFT lattice parameters and positions (PBE) and Cu Kα, 1.54184 Å.
Lines closer than 0.1° are merged.

Main lines, sorted by position (15 to 90 degrees two-theta):
d (Å)  I (rel.)  (hkl)
5.119  82  1 -1 1
4.250  78  0 0 3
4.082  100  1 2 0
4.061  58  1 2 2
3.893  80  1 -2 0
3.660  84  2 1 2

Structure:
```
data_Sb3As2S14I3F24
_chemical_formula_sum 'Sb3 As2 S14 I3 F24'
_cell_length_a 8.472
_cell_length_b 9.546
_cell_length_c 13.465
_cell_angle_alpha 71.60
_cell_angle_beta 85.05
_cell_angle_gamma 85.32
_space_group_name_H-M_alt 'P -1'
_space_group_IT_number 2
loop_
_space_group_symop_operation_xyz
'x,y,z'
'-x,-y,-z'
loop_
_atom_site_label
_atom_site_type_symbol
_atom_site_fract_x
_atom_site_fract_y
_atom_site_fract_z
Sb1 Sb 0.000 0.000 0.000
Sb2 Sb 0.468 0.216 0.665
As1 As 0.481 0.770 0.997
S1 S 0.036 0.593 0.865
S2 S 0.090 0.066 0.307
S3 S 0.101 0.458 0.790
S4 S 0.116 0.545 0.304
S5 S 0.128 0.831 0.756
S6 S 0.158 0.180 0.396
S7 S 0.258 0.372 0.291
I1 I 0.000 0.500 0.500
I2 I 0.284 0.760 0.625
F1 F 0.005 0.184 0.030
F2 F 0.040 0.895 0.143
F3 F 0.225 0.001 0.965
F4 F 0.244 0.196 0.692
F5 F 0.308 0.762 0.372
F6 F 0.347 0.641 0.078
F7 F 0.349 0.354 0.978
F8 F 0.438 0.423 0.647
F9 F 0.442 0.253 0.516
F10 F 0.442 0.732 0.880
F11 F 0.498 0.991 0.317
F12 F 0.499 0.178 0.811
```

(2)
Diffraction record for AsSeI3F6. The X-ray diffraction stick pattern is calculated, not measured: it uses DFT lattice parameters and positions (PBE) and Cu Kα, 1.54184 Å.
Lines closer than 0.1° are merged.

Main lines, sorted by position (15 to 90 degrees two-theta):
d (Å)  I (rel.)  (hkl)
4.324  100  1 1 2
4.295  46  2 0 0
3.800  47  1 2 -2
3.608  39  2 1 -2
3.517  31  1 2 2
3.370  43  0 3 1

Structure:
```
data_AsSeI3F6
_chemical_formula_sum 'As4 Se4 I12 F24'
_cell_length_a 8.697
_cell_length_b 10.475
_cell_length_c 12.799
_cell_angle_alpha 90.00
_cell_angle_beta 99.03
_cell_angle_gamma 90.00
_space_group_name_H-M_alt 'P 1 21/c 1'
_space_group_IT_number 14
loop_
_space_group_symop_operation_xyz
'x,y,z'
'-x,-y,-z'
'-x,y+1/2,-z+1/2'
'x,-y+1/2,z+1/2'
loop_
_atom_site_label
_atom_site_type_symbol
_atom_site_fract_x
_atom_site_fract_y
_atom_site_fract_z
As1 As 0.198 0.225 0.067
Se1 Se 0.201 0.681 0.699
I1 I 0.210 0.591 0.267
I2 I 0.262 0.541 0.862
I3 I 0.444 0.673 0.611
F1 F 0.012 0.223 0.502
F2 F 0.119 0.074 0.090
F3 F 0.155 0.217 0.689
F4 F 0.241 0.169 0.942
F5 F 0.278 0.122 0.541
F6 F 0.385 0.175 0.128
```

(3)
Diffraction record for InAsF6. The X-ray diffraction stick pattern is calculated, not measured: it uses DFT lattice parameters and positions (PBE) and Cu Kα, 1.54184 Å.
Lines closer than 0.1° are merged.

Main lines, sorted by position (15 to 90 degrees two-theta):
d (Å)  I (rel.)  (hkl)
3.819  100  1 1 0
3.379  74  0 1 2
2.531  18  2 0 2
2.383  17  3 -1 1
2.110  60  1 2 2
1.545  21  3 -1 4

Structure:
```
data_InAsF6
_chemical_formula_sum 'In3 As3 F18'
_cell_length_a 7.6387
_cell_length_b 7.6387
_cell_length_c 7.8598
_cell_angle_alpha 90.00
_cell_angle_beta 90.00
_cell_angle_gamma 120.00
_space_group_name_H-M_alt 'R -3'
_space_group_IT_number 148
_space_group_name_Hall '-R 3'
loop_
_atom_site_label
_atom_site_type_symbol
_atom_site_fract_x
_atom_site_fract_y
_atom_site_fract_z
In1 In 0.0000 0.0000 0.0000
As1 As 0.0000 0.0000 0.5000
F1 F 0.0707 0.8564 0.6321
```

(4)
Diffraction record for In3AsF6. The X-ray diffraction stick pattern is calculated, not measured: it uses DFT lattice parameters and positions (PBE) and Cu Kα, 1.54184 Å.
Lines closer than 0.1° are merged.

Main lines, sorted by position (15 to 90 degrees two-theta):
d (Å)  I (rel.)  (hkl)
4.376  67  -1 1 1
4.302  59  1 1 -1
3.376  90  0 2 0
3.279  78  0 0 2
3.233  100  2 0 0
3.061  60  1 1 1

Structure:
```
data_In3AsF6
_chemical_formula_sum 'In3 As1 F6'
_cell_length_a 6.989
_cell_length_b 7.057
_cell_length_c 7.062
_cell_angle_alpha 99.21
_cell_angle_beta 107.42
_cell_angle_gamma 100.58
_space_group_name_H-M_alt 'P -1'
_space_group_IT_number 2
loop_
_space_group_symop_operation_xyz
'x,y,z'
'-x,-y,-z'
loop_
_atom_site_label
_atom_site_type_symbol
_atom_site_fract_x
_atom_site_fract_y
_atom_site_fract_z
In1 In 0.000 0.000 0.000
In2 In 0.000 0.500 0.500
In3 In 0.500 0.000 0.500
As1 As 0.000 0.000 0.500
F1 F 0.032 0.782 0.281
F2 F 0.191 0.210 0.412
F3 F 0.247 0.941 0.709
```

(5)
Diffraction record for K2InAsF6. The X-ray diffraction stick pattern is calculated, not measured: it uses DFT lattice parameters and positions (PBE) and Cu Kα, 1.54184 Å.
Lines closer than 0.1° are merged.

Main lines, sorted by position (15 to 90 degrees two-theta):
d (Å)  I (rel.)  (hkl)
4.639  48  2 0 0
3.281  100  2 2 0
2.320  48  4 0 0
1.894  38  4 2 2
1.640  28  4 4 0
1.240  21  6 4 2

Structure:
```
data_K2InAsF6
_chemical_formula_sum 'K8 In4 As4 F24'
_cell_length_a 9.279
_cell_length_b 9.279
_cell_length_c 9.279
_cell_angle_alpha 90.00
_cell_angle_beta 90.00
_cell_angle_gamma 90.00
_space_group_name_H-M_alt 'F m -3 m'
_space_group_IT_number 225
_space_group_name_Hall '-F 4 2 3'
loop_
_atom_site_label
_atom_site_type_symbol
_atom_site_fract_x
_atom_site_fract_y
_atom_site_fract_z
K1 K 0.250 0.250 0.250
In1 In 0.000 0.000 0.000
As1 As 0.000 0.000 0.500
F1 F 0.000 0.000 0.276
```